# Na4Si23
Computed powder diffraction line list, Cu Ka. Input: the PBE geometry in the Materials Project.
Peak positions follow from Bragg's law for the DFT cell and can differ from measured ones.

Most intense lines, 2θ from 15° to 90°, in order of rising 2θ:
| 2theta | d_spacing | Rel. int. | hkl |
| --- | --- | --- | --- |
| 19.4 | 4.581 | 19 | 2 1 0 |
| 30.2 | 2.957 | 33 | 2 2 2 |
| 31.5 | 2.841 | 35 | 3 2 0 |
| 32.7 | 2.738 | 100 | 3 2 1 |
| 36.2 | 2.484 | 22 | 4 1 0 |
| 37.2 | 2.414 | 11 | 3 3 0 |
| 52.1 | 1.757 | 54 | 5 3 0 |
| 52.9 | 1.732 | 18 | 5 3 1 |
| 53.7 | 1.707 | 21 | 6 0 0 |
| 55.3 | 1.662 | 46 | 5 3 2 |

Structural model:
```
data_Na4Si23
_chemical_formula_sum 'Na8 Si46'
_cell_length_a 10.2438
_cell_length_b 10.2438
_cell_length_c 10.2438
_cell_angle_alpha 90.00
_cell_angle_beta 90.00
_cell_angle_gamma 90.00
_symmetry_space_group_name_H-M 'P m -3 n'
_symmetry_Int_Tables_number 223
_symmetry_space_group_name_Hall '-P 4n 2 3'
loop_
_atom_site_label
_atom_site_fract_x
_atom_site_fract_y
_atom_site_fract_z
Na1 0.0000 0.0000 0.0000
Na2 0.0000 0.2500 0.5000
Si1 0.0000 0.3078 0.1173
Si2 0.0000 0.5000 0.2500
Si3 0.1841 0.1841 0.1841
```